[1]
Starting from DFT lattice parameters and positions (PBE), the powder diffractogram of Tb5Dy2Tl4 was computed for Cu Kα, 1.54184 Å.

Crystal structure
Unit cell a=15.1284 b=15.1284 c=15.1284 alpha=166.81 beta=146.74 gamma=35.92
Sites, in units of the cell vectors:
Tb (0.0000, 0.0000, 0.0000)
Tb (0.0028, 0.7009, 0.3018)
Tb (0.3991, 0.7009, 0.6982)
Tb (0.6009, 0.2991, 0.3018)
Tb (0.9972, 0.2991, 0.6982)
Dy (0.0968, 0.5968, 0.5000)
Dy (0.9032, 0.4032, 0.5000)
Tl (0.3024, 0.8024, 0.5000)
Tl (0.3196, 0.5000, 0.8196)
Tl (0.6804, 0.5000, 0.1804)
Tl (0.6976, 0.1976, 0.5000)

Main lines, in order of rising 2θ (2θ from 15° to 90°):
Position (°2θ)	d/Å	I (rel.)
18.50	4.795	470
28.36	3.147	355
31.08	2.877	600
32.39	2.764	384
36.65	2.452	1000
58.98	1.566	250

***

[2]
Starting from DFT lattice parameters and positions (PBE), the powder diffractogram of RbPmB12 was computed for Cu Kα, 1.54184 Å.

Crystal structure
Unit cell a=5.9353 b=5.9353 c=5.9353 alpha=60.00 beta=60.00 gamma=60.00
Sites, in units of the cell vectors:
Rb (0.0000, 0.0000, 0.0000)
Pm (0.5000, 0.5000, 0.5000)
B (0.1013, 0.1013, 0.3987)
B (0.1013, 0.3987, 0.1013)
B (0.1013, 0.3987, 0.3987)
B (0.3987, 0.1013, 0.1013)
B (0.3987, 0.1013, 0.3987)
B (0.3987, 0.3987, 0.1013)
B (0.6013, 0.6013, 0.8987)
B (0.6013, 0.8987, 0.6013)
B (0.6013, 0.8987, 0.8987)
B (0.8987, 0.6013, 0.6013)
B (0.8987, 0.6013, 0.8987)
B (0.8987, 0.8987, 0.6013)

Main lines, in order of rising 2θ (2θ from 15° to 90°):
Position (°2θ)	d/Å	I (rel.)
21.17	4.197	540
30.11	2.968	1000
37.10	2.423	421
48.50	1.877	481
53.48	1.713	244
66.88	1.399	285

***

[3]
Starting from DFT lattice parameters and positions (PBE), the powder diffractogram of TbPr3Y5 was computed for Cu Kα, 1.54184 Å.

Crystal structure
Unit cell a=9.8835 b=9.8835 c=7.1498 alpha=90.00 beta=90.00 gamma=120.00
Sites, in units of the cell vectors:
Tb (0.0000, 0.0000, 0.0000)
Tb (0.0000, 0.0000, 0.5000)
Pr (0.0000, 0.3591, 0.2500)
Pr (0.0000, 0.6409, 0.7500)
Pr (0.3591, 0.0000, 0.2500)
Pr (0.3591, 0.3591, 0.7500)
Pr (0.6409, 0.0000, 0.7500)
Pr (0.6409, 0.6409, 0.2500)
Y (0.0000, 0.3080, 0.7500)
Y (0.0000, 0.6920, 0.2500)
Y (0.3080, 0.0000, 0.7500)
Y (0.3080, 0.3080, 0.2500)
Y (0.3333, 0.6667, 0.0000)
Y (0.3333, 0.6667, 0.5000)
Y (0.6667, 0.3333, 0.0000)
Y (0.6667, 0.3333, 0.5000)
Y (0.6920, 0.0000, 0.2500)
Y (0.6920, 0.6920, 0.7500)

Main lines, in order of rising 2θ (2θ from 15° to 90°):
Position (°2θ)	d/Å	I (rel.)
30.87	2.896	993
31.35	2.853	1000
44.58	2.033	328
55.51	1.655	318
55.81	1.647	159
61.19	1.515	300

***

[4]
Starting from DFT lattice parameters and positions (PBE), the powder diffractogram of Zr4N was computed for Cu Kα, 1.54184 Å.

Crystal structure
Unit cell a=6.5804 b=5.2696 c=6.4896 alpha=90.00 beta=119.47 gamma=90.00
Sites, in units of the cell vectors:
Zr (0.1495, 0.2498, 0.3245)
Zr (0.1495, 0.2502, 0.8245)
Zr (0.3331, 0.7348, 0.1661)
Zr (0.3331, 0.7652, 0.6661)
Zr (0.6669, 0.2348, 0.3339)
Zr (0.6669, 0.2652, 0.8339)
Zr (0.8505, 0.7498, 0.1755)
Zr (0.8505, 0.7502, 0.6755)
N (0.0000, 0.0000, 0.5000)
N (0.0000, 0.5000, 0.0000)

Main lines, in order of rising 2θ (2θ from 15° to 90°):
Position (°2θ)	d/Å	I (rel.)
31.69	2.823	264
34.03	2.635	385
35.68	2.517	609
36.09	2.489	1000
47.18	1.926	216
55.86	1.646	198